# 1
Structure and computed powder XRD pattern of Cs3BN2 (a crystal structure in the Materials Project, relaxed with GGA-PBE; Cu Kα (λ = 1.5418 Å)).

The 8 most intense peaks (10° ≤ 2θ ≤ 80°), by angle:
Position (°2θ)  I/Imax
20.1  23.9
21.8  37.4
26.6  52.7
28.9  51.5
30.5  100.0
38.8  32.1
46.0  17.9
51.6  18.9

Cell lengths 9.468, 9.468, 14.954 Å; angles 90.00, 90.00, 90.00 degrees
Space group I4_1/amd (No. 141, origin choice 2)
Asymmetric unit:
Cs 0.000 0.250 0.001 x8
Cs 0.198 0.052 0.375 x16
B 0.000 0.250 0.205 x8
N 0.000 0.106 0.202 x16



# 2
Structure and computed powder XRD pattern of CsB5O8 (a crystal structure in the Materials Project, relaxed with GGA-PBE; Cu Kα (λ = 1.5418 Å)).

The 8 most intense peaks (10° ≤ 2θ ≤ 80°), by angle:
Position (°2θ)  I/Imax
13.9  42.6
18.3  43.1
25.5  47.1
26.0  100.0
28.0  37.2
28.6  67.0
29.6  36.5
30.5  56.5

Cell lengths 8.133, 9.708, 8.449 Å; angles 90.00, 90.00, 90.00 degrees
Space group Pnma (No. 62)
Asymmetric unit:
Cs 0.039 0.250 0.210 x4
B 0.087 0.750 0.382 x4
B 0.227 0.137 0.652 x8
B 0.245 0.529 0.415 x8
O 0.097 0.250 0.623 x4
O 0.138 0.628 0.468 x8
O 0.153 0.750 0.213 x4
O 0.185 0.036 0.767 x8
O 0.213 0.584 0.004 x8